Simulated powder X-ray diffraction pattern
Compound: Sr2Ni2P
Radiation: Cu Ka
Structure: the GGA-PBE geometry in Alexandria
Neutral-atom scattering factors, no anomalous dispersion.

The 10 most intense peaks (10° ≤ 2θ ≤ 90°), by angle:
2θ (°)  I_rel
24.91  27
27.75  44
30.21  95
31.66  55
32.29  64
34.58  100
39.56  30
41.10  59
41.30  50
59.67  36

Structural model:
Cell: 7.383 4.392 14.284 Å, 90.00 90.00 90.00°
Space group Pnma (No. 62)
Symmetry-distinct sites (fractional):
Sr 0.175 0.250 0.169 x4
Sr 0.184 0.250 0.439 x4
Ni 0.035 0.250 0.956 x4
Ni 0.041 0.750 0.302 x4
P 0.157 0.250 0.812 x4



Simulated powder X-ray diffraction pattern
Compound: Tl2InHg12
Radiation: Cu Ka
Structure: the GGA-PBE geometry in Alexandria
Neutral-atom scattering factors, no anomalous dispersion.

The 10 most intense peaks (10° ≤ 2θ ≤ 90°), by angle:
2θ (°)  I_rel
31.48  40
32.24  100
33.45  69
33.70  81
34.56  38
34.68  37
56.12  17
66.21  21
66.93  19
67.09  19

Structural model:
Cell: 11.108 6.556 22.968 Å, 90.00 96.43 90.00°
Space group C2/m (No. 12)
Symmetry-distinct sites (fractional):
Tl 0.175 0.000 0.231 x4
Tl 0.183 0.500 0.232 x4
In 0.249 0.000 0.500 x4
Hg 0.017 0.500 0.571 x4
Hg 0.018 0.000 0.571 x4
Hg 0.051 0.251 0.698 x8
Hg 0.087 0.252 0.836 x8
Hg 0.115 0.000 0.962 x4
Hg 0.118 0.500 0.964 x4
Hg 0.146 0.250 0.091 x8
Hg 0.217 0.250 0.371 x8



Simulated powder X-ray diffraction pattern
Compound: Sc4Cd2Sn
Radiation: Cu Ka
Structure: the GGA-PBE geometry in Alexandria
Neutral-atom scattering factors, no anomalous dispersion.

The 10 most intense peaks (10° ≤ 2θ ≤ 90°), by angle:
2θ (°)  I_rel
10.97  11
21.17  10
22.10  11
25.57  13
27.90  8
36.48  100
52.54  17
65.50  8
65.71  25
88.92  7

Structural model:
Cell: 4.9200 4.9200 24.1953 Å, 90.00 90.00 120.00°
Space group R-3m (No. 166, hexagonal axes)
Symmetry-distinct sites (fractional):
Sc 0.0000 0.0000 0.1178 x6
Sc 0.0000 0.0000 0.3709 x6
Cd 0.0000 0.0000 0.2510 x6
Sn 0.0000 0.0000 0.5000 x3



Simulated powder X-ray diffraction pattern
Compound: CePr3Tm8
Radiation: Cu Ka
Structure: the GGA-PBE geometry in Alexandria
Neutral-atom scattering factors, no anomalous dispersion.

The 10 most intense peaks (10° ≤ 2θ ≤ 90°), by angle:
2θ (°)  I_rel
14.41  33
24.22  66
25.91  52
29.04  76
31.87  63
33.22  71
36.38  100
43.65  38
44.70  59
59.75  36

Structural model:
Cell: 8.696 8.696 11.234 Å, 90.00 90.00 90.00°
Space group I-42m (No. 121)
Symmetry-distinct sites (fractional):
Ce 0.000 0.000 0.000 x2
Pr 0.000 0.000 0.500 x2
Pr 0.000 0.500 0.250 x4
Tm 0.125 0.125 0.234 x8
Tm 0.231 0.231 0.967 x8



Simulated powder X-ray diffraction pattern
Compound: SmBi3Se6
Radiation: Cu Ka
Structure: the GGA-PBE geometry in Alexandria
Neutral-atom scattering factors, no anomalous dispersion.

The 10 most intense peaks (10° ≤ 2θ ≤ 90°), by angle:
2θ (°)  I_rel
14.69  74
21.65  55
24.69  90
28.70  100
29.76  52
31.41  98
31.52  46
38.90  93
40.45  50
43.50  65

Structural model:
Cell: 12.244 4.161 12.320 Å, 90.00 107.96 90.00°
Space group P2_1/m (No. 11)
Symmetry-distinct sites (fractional):
Sm 0.190 0.250 0.039 x2
Bi 0.028 0.750 0.299 x2
Bi 0.337 0.250 0.435 x2
Bi 0.403 0.750 0.849 x2
Se 0.034 0.750 0.898 x2
Se 0.116 0.250 0.465 x2
Se 0.229 0.750 0.236 x2
Se 0.242 0.250 0.807 x2
Se 0.389 0.750 0.071 x2
Se 0.419 0.750 0.596 x2



Simulated powder X-ray diffraction pattern
Compound: PaZn2PO8
Radiation: Cu Ka
Structure: the GGA-PBE geometry in Alexandria
Neutral-atom scattering factors, no anomalous dispersion.

The 10 most intense peaks (10° ≤ 2θ ≤ 90°), by angle:
2θ (°)  I_rel
13.67  33
19.38  25
23.79  69
27.16  58
27.93  57
33.90  100
39.35  23
41.84  28
52.44  36
53.33  38

Structural model:
Cell: 6.390 6.568 6.478 Å, 90.00 90.00 90.00°
Space group Cmmm (No. 65)
Symmetry-distinct sites (fractional):
Pa 0.000 0.000 0.000 x2
Zn 0.000 0.500 0.273 x4
P 0.000 0.000 0.500 x2
O 0.000 0.256 0.500 x4
O 0.000 0.308 0.000 x4
O 0.183 0.000 0.306 x8



Simulated powder X-ray diffraction pattern
Compound: La8Dy5Ho
Radiation: Cu Ka
Structure: the GGA-PBE geometry in Alexandria
Neutral-atom scattering factors, no anomalous dispersion.

The 10 most intense peaks (10° ≤ 2θ ≤ 90°), by angle:
2θ (°)  I_rel
25.52  28
29.49  50
30.57  39
31.22  100
31.66  29
31.83  20
32.13  64
34.13  39
49.62  17
52.81  15

Structural model:
Cell: 8.665 8.671 8.723 Å, 114.33 115.63 98.60°
Space group P1 (No. 1)
Symmetry-distinct sites (fractional):
La 0.000 0.000 0.000 x1
La 0.000 0.320 0.437 x1
La 0.393 0.813 0.760 x1
La 0.437 0.437 0.991 x1
La 0.554 0.874 0.428 x1
La 0.607 0.506 0.668 x1
La 0.740 0.277 0.949 x1
La 0.882 0.665 0.478 x1
Dy 0.126 0.658 0.959 x1
Dy 0.221 0.475 0.253 x1
Dy 0.253 0.042 0.469 x1
Dy 0.489 0.149 0.213 x1
Dy 0.776 0.842 0.175 x1
Ho 0.999 0.159 0.714 x1



Simulated powder X-ray diffraction pattern
Compound: Dy3Co6Si2
Radiation: Cu Ka
Structure: the GGA-PBE geometry in Alexandria
Neutral-atom scattering factors, no anomalous dispersion.

The 10 most intense peaks (10° ≤ 2θ ≤ 90°), by angle:
2θ (°)  I_rel
25.04  23
32.50  40
35.71  36
38.68  31
41.46  23
44.11  100
57.99  19
66.13  20
71.90  18
81.14  24

Structural model:
Cell: 8.711 8.711 8.711 Å, 90.00 90.00 90.00°
Space group Im-3m (No. 229)
Symmetry-distinct sites (fractional):
Dy 0.000 0.000 0.285 x12
Co 0.000 0.336 0.336 x24
Si 0.250 0.250 0.250 x8



Simulated powder X-ray diffraction pattern
Compound: PmCN2O
Radiation: Cu Ka
Structure: the GGA-PBE geometry in Alexandria
Neutral-atom scattering factors, no anomalous dispersion.

The 10 most intense peaks (10° ≤ 2θ ≤ 90°), by angle:
2θ (°)  I_rel
12.89  100
17.67  52
26.65  86
27.53  36
29.10  24
30.79  24
34.46  23
37.53  20
42.56  24
54.00  19

Structural model:
Cell: 6.228 3.989 6.971 Å, 90.00 99.75 90.00°
Space group P2_1/m (No. 11)
Symmetry-distinct sites (fractional):
Pm 0.234 0.250 0.109 x2
C 0.356 0.250 0.644 x2
N 0.283 0.250 0.471 x2
N 0.436 0.250 0.821 x2
O 0.071 0.750 0.126 x2



Simulated powder X-ray diffraction pattern
Compound: Zn2Ni9Ge
Radiation: Cu Ka
Structure: the GGA-PBE geometry in Alexandria
Neutral-atom scattering factors, no anomalous dispersion.

The 5 most intense peaks (10° ≤ 2θ ≤ 90°), by angle:
2θ (°)  I_rel
43.83  100
50.95  31
51.25  15
74.94  9
75.18  18

Structural model:
Cell: 3.584 3.584 10.695 Å, 90.00 90.00 90.00°
Space group P4/mmm (No. 123)
Symmetry-distinct sites (fractional):
Zn 0.000 0.000 0.166 x2
Ni 0.000 0.500 0.000 x2
Ni 0.000 0.500 0.335 x4
Ni 0.500 0.500 0.167 x2
Ni 0.500 0.500 0.500 x1
Ge 0.000 0.000 0.500 x1



Simulated powder X-ray diffraction pattern
Compound: BaHgBi2Pt2
Radiation: Cu Ka
Structure: the GGA-PBE geometry in Alexandria
Neutral-atom scattering factors, no anomalous dispersion.

The 10 most intense peaks (10° ≤ 2θ ≤ 90°), by angle:
2θ (°)  I_rel
21.23  39
28.04  100
29.95  22
35.25  18
36.70  38
37.41  20
40.58  26
41.12  14
42.11  42
53.41  15

Structural model:
Cell: 7.367 10.173 4.898 Å, 90.00 90.00 90.00°
Space group Pnnm (No. 58)
Symmetry-distinct sites (fractional):
Ba 0.000 0.000 0.000 x2
Hg 0.000 0.500 0.000 x2
Bi 0.096 0.298 0.500 x4
Pt 0.231 0.815 0.500 x4



Simulated powder X-ray diffraction pattern
Compound: TbHoTm2Sc2
Radiation: Cu Ka
Structure: the GGA-PBE geometry in Alexandria
Neutral-atom scattering factors, no anomalous dispersion.

The 10 most intense peaks (10° ≤ 2θ ≤ 90°), by angle:
2θ (°)  I_rel
23.09  37
32.71  100
33.05  95
40.71  9
47.19  36
58.82  37
59.00  12
65.19  26
78.77  11
84.50  13

Structural model:
Cell: 6.740 9.378 5.426 Å, 90.00 90.00 90.00°
Space group Pnnm (No. 58)
Symmetry-distinct sites (fractional):
Tb 0.000 0.000 0.000 x2
Ho 0.000 0.500 0.500 x2
Tm 0.249 0.334 0.000 x4
Sc 0.250 0.167 0.500 x4